Theoretical powder XRD pattern
Compound: HoCuSb2
Radiation: Cu Kα X-rays
Structure: a DFT-relaxed cell (PBE, the Materials Project)

Crystal structure
Lattice parameters (Å, degrees): 4.317 4.317 9.753 90.00 90.00 90.00
Sites, in units of the cell vectors:
Ho 0.250 0.250 0.250
Ho 0.750 0.750 0.750
Cu 0.250 0.750 0.000
Cu 0.750 0.250 0.000
Sb 0.250 0.250 0.837
Sb 0.250 0.750 0.500
Sb 0.750 0.250 0.500
Sb 0.750 0.750 0.163

Most intense lines, 10° ≤ 2θ ≤ 90°, by angle:
Position (°2θ), I_rel, (hkl)
27.6, 125, 1 0 2
30.7, 109, 1 1 1
34.5, 177, 1 0 3
34.7, 1000, 1 1 2
41.9, 398, 2 0 0
51.4, 146, 1 0 5
57.0, 113, 2 0 4
60.7, 130, 2 2 0
68.4, 123, 2 1 5
71.8, 253, 3 1 2

Theoretical powder XRD pattern
Compound: Er2MgTiO6
Radiation: Cu Kα X-rays
Structure: a DFT-relaxed cell (PBE, the Materials Project)

Crystal structure
Lattice parameters (Å, degrees): 5.303 5.610 9.305 90.00 124.21 90.00
Sites, in units of the cell vectors:
Er 0.227 0.064 0.245
Er 0.227 0.436 0.745
Er 0.773 0.564 0.255
Er 0.773 0.936 0.755
Mg 0.000 0.000 0.500
Mg 0.000 0.500 0.000
Ti 0.500 0.000 0.000
Ti 0.500 0.500 0.500
O 0.143 0.187 0.945
O 0.143 0.313 0.445
O 0.247 0.705 0.931
O 0.247 0.795 0.431
O 0.378 0.052 0.758
O 0.378 0.448 0.258
O 0.622 0.552 0.742
O 0.622 0.948 0.242
O 0.753 0.205 0.569
O 0.753 0.295 0.069
O 0.857 0.687 0.555
O 0.857 0.813 0.055

Most intense lines, 10° ≤ 2θ ≤ 90°, by angle:
Position (°2θ), I_rel, (hkl)
23.1, 1000, 0 0 2
25.8, 172, 1 1 0
31.9, 235, 0 2 0
32.8, 678, 1 1 1
33.0, 674, 1 1 -3
33.8, 318, 2 0 -2
34.0, 210, 0 2 1
47.2, 415, 0 0 4
53.3, 348, 1 3 0
59.7, 234, 2 0 -6

Theoretical powder XRD pattern
Compound: SrMnSb2
Radiation: Cu Kα X-rays
Structure: a DFT-relaxed cell (PBE, the Materials Project)

Crystal structure
Lattice parameters (Å, degrees): 22.626 4.451 4.516 90.00 90.00 90.00
Sites, in units of the cell vectors:
Sr 0.119 0.250 0.225
Sr 0.381 0.750 0.725
Sr 0.619 0.250 0.275
Sr 0.881 0.750 0.775
Mn 0.250 0.250 0.723
Mn 0.250 0.750 0.223
Mn 0.750 0.250 0.777
Mn 0.750 0.750 0.277
Sb 0.002 0.250 0.715
Sb 0.181 0.750 0.726
Sb 0.319 0.250 0.226
Sb 0.498 0.750 0.215
Sb 0.502 0.250 0.785
Sb 0.681 0.750 0.774
Sb 0.819 0.250 0.274
Sb 0.998 0.750 0.285

Most intense lines, 10° ≤ 2θ ≤ 90°, by angle:
Position (°2θ), I_rel, (hkl)
23.6, 156, 6 0 0
25.2, 194, 4 0 1
25.5, 226, 4 1 0
29.3, 292, 2 1 1
30.9, 169, 6 0 1
32.4, 1000, 4 1 1
39.9, 271, 0 0 2
40.5, 255, 0 2 0
42.9, 239, 8 1 1
58.2, 174, 0 2 2